[1]
Tb4In12Fe: computed PXRD pattern (Cu Kα), based on a structure optimized by DFT (PBE).
Neutral-atom scattering factors, no anomalous dispersion.

Crystal structure
```
Tb4In12Fe
1.0
-4.6904 4.6904 4.6904
4.6904 -4.6904 4.6904
4.6904 4.6904 -4.6904
Tb In Fe
4 12 1
direct
0.0000 0.0000 0.5000
0.0000 0.5000 0.0000
0.5000 0.0000 0.0000
0.5000 0.5000 0.5000
0.0000 0.2755 0.2755
0.0000 0.7245 0.7245
0.2500 0.5000 0.7500
0.2500 0.7500 0.5000
0.2755 0.0000 0.2755
0.2755 0.2755 0.0000
0.5000 0.2500 0.7500
0.5000 0.7500 0.2500
0.7245 0.0000 0.7245
0.7245 0.7245 0.0000
0.7500 0.2500 0.5000
0.7500 0.5000 0.2500
0.0000 0.0000 0.0000
```

Principal peaks in the range 2θ from 5° to 70°, low angle first:
| 2theta | intensity |
| --- | --- |
| 26.88 | 4 |
| 30.13 | 2 |
| 33.08 | 100 |
| 35.82 | 3 |
| 38.38 | 56 |
| 40.81 | 2 |
| 45.34 | 3 |
| 55.41 | 36 |
| 66.07 | 36 |
| 69.41 | 11 |



[2]
ErScTl4: computed PXRD pattern (Cu Kα), based on a structure optimized by DFT (PBE).
Neutral-atom scattering factors, no anomalous dispersion.

Crystal structure
```
ErScTl4
1.0
4.5921 0.0000 0.0000
0.0000 4.6080 0.0000
0.0000 0.0000 14.1345
Er Sc Tl
2 2 8
direct
0.0000 0.0000 0.0000
0.0000 0.5000 0.5000
0.0000 0.0000 0.6882
0.0000 0.5000 0.1882
0.0000 0.0000 0.3396
0.0000 0.5000 0.8396
0.5000 0.0000 0.1692
0.5000 0.0000 0.5215
0.5000 0.0000 0.8402
0.5000 0.5000 0.0215
0.5000 0.5000 0.3402
0.5000 0.5000 0.6692
```

Principal peaks in the range 2θ from 5° to 70°, low angle first:
| 2theta | intensity |
| --- | --- |
| 33.48 | 100 |
| 38.20 | 16 |
| 39.10 | 17 |
| 39.24 | 17 |
| 55.80 | 13 |
| 55.92 | 11 |
| 56.59 | 12 |
| 66.06 | 12 |
| 67.28 | 14 |
| 67.47 | 13 |